Computed powder X-ray diffraction pattern of Pr2CoB10 for Cu Kα, 1.54184 Å, from a cell relaxed with GGA-PBE.

Peak list (10 most intense, 2θ = 10–80°, by angle)
- 21.12°, I 26
- 22.30°, I 67
- 27.60°, I 22
- 30.90°, I 100
- 31.80°, I 17
- 38.38°, I 34
- 38.49°, I 47
- 43.00°, I 18
- 45.50°, I 21
- 48.98°, I 36

Structure:
```
data_Pr2CoB10
_chemical_formula_sum 'Pr4 Co2 B20'
_cell_length_a 5.650
_cell_length_b 11.255
_cell_length_c 4.207
_cell_angle_alpha 90.00
_cell_angle_beta 90.00
_cell_angle_gamma 90.00
_space_group_name_H-M_alt 'P b a m'
_space_group_IT_number 55
loop_
_space_group_symop_operation_xyz
'x,y,z'
'-x,-y,-z'
'-x,-y,z'
'x,y,-z'
'x+1/2,-y+1/2,-z'
'-x+1/2,y+1/2,z'
'-x+1/2,y+1/2,-z'
'x+1/2,-y+1/2,z'
loop_
_atom_site_label
_atom_site_fract_x
_atom_site_fract_y
_atom_site_fract_z
Pr1 0.199 0.134 0.000
Co1 0.000 0.500 0.500
B1 0.034 0.313 0.500
B2 0.128 0.959 0.500
B3 0.157 0.803 0.500
B4 0.200 0.387 0.202
```